Entry 1:
Simulated X-ray diffraction stick pattern of DyAgHgCl6 for λ = 1.5418 Å (Cu Kα), from a crystal structure in Alexandria, relaxed with PBE.

Cell and atoms:
a b c (Å): 6.793 6.793 12.319
angles (deg): 90.00 90.00 120.00
Atoms (fractional coordinates):
Dy  0.333  0.667  0.250
Dy  0.667  0.333  0.750
Ag  0.000  0.000  0.000
Ag  0.000  0.000  0.500
Hg  0.333  0.667  0.750
Hg  0.667  0.333  0.250
Cl  0.007  0.348  0.127
Cl  0.007  0.659  0.373
Cl  0.341  0.348  0.373
Cl  0.341  0.993  0.127
Cl  0.348  0.007  0.627
Cl  0.348  0.341  0.873
Cl  0.652  0.659  0.127
Cl  0.652  0.993  0.373
Cl  0.659  0.007  0.873
Cl  0.659  0.652  0.627
Cl  0.993  0.341  0.627
Cl  0.993  0.652  0.873

Peak list (10 most intense, 2θ = 10–90°, most intense first)
| index | 2θ (°) | d_spacing | I (rel.) |
| --- | --- | --- | --- |
| 1 0 2 | 20.9 | 4.254 | 100.0 |
| 1 1 4 | 39.5 | 2.282 | 75.7 |
| 1 1 2 | 30.0 | 2.974 | 45.2 |
| 1 1 0 | 26.2 | 3.397 | 43.5 |
| 3 0 0 | 46.3 | 1.961 | 32.5 |
| 2 1 2 | 43.3 | 2.092 | 30.3 |
| 2 0 2 | 33.8 | 2.654 | 29.9 |
| 0 0 2 | 14.4 | 6.160 | 28.1 |
| 4 -2 4 | 62.4 | 1.487 | 18.9 |
| 4 1 4 | 81.2 | 1.185 | 18.0 |


Entry 2:
Simulated X-ray diffraction stick pattern of Pr6Dy8Mg for λ = 1.5418 Å (Cu Kα), from a crystal structure in Alexandria, relaxed with PBE.

Cell and atoms:
a b c (Å): 9.556 9.556 6.359
angles (deg): 90.00 90.00 120.00
Atoms (fractional coordinates):
Pr  0.089  0.639  0.187
Pr  0.361  0.449  0.187
Pr  0.449  0.089  0.813
Pr  0.551  0.911  0.187
Pr  0.639  0.551  0.813
Pr  0.911  0.361  0.813
Dy  0.039  0.775  0.688
Dy  0.225  0.264  0.688
Dy  0.264  0.039  0.312
Dy  0.333  0.667  0.669
Dy  0.667  0.333  0.331
Dy  0.736  0.961  0.688
Dy  0.775  0.736  0.312
Dy  0.961  0.225  0.312
Mg  0.000  0.000  0.000

Peak list (10 most intense, 2θ = 10–90°, most intense first)
| index | 2θ (°) | d_spacing | I (rel.) |
| --- | --- | --- | --- |
| 3 -1 1 | 31.9 | 2.807 | 100.0 |
| 1 2 0 | 28.5 | 3.128 | 25.1 |
| 1 1 2 | 33.9 | 2.647 | 19.0 |
| 0 0 2 | 28.1 | 3.180 | 17.5 |
| 4 1 0 | 50.5 | 1.806 | 16.7 |
| 2 4 1 | 61.0 | 1.519 | 13.0 |
| 1 2 2 | 40.5 | 2.230 | 11.7 |
| 5 -4 2 | 58.8 | 1.570 | 10.3 |
| 0 1 2 | 30.1 | 2.968 | 10.3 |
| 3 -2 3 | 52.1 | 1.755 | 9.3 |